# UV3O10
Computed PXRD pattern, Cu Kα (λ = 1.5418 Å). Input: a GGA+U-relaxed structure.
No peak broadening, texture or thermal motion is included.

Main lines, in order of rising 2θ (2θ = 10–90°):
- 15.50 deg, intensity 39
- 18.10 deg, intensity 39
- 21.53 deg, intensity 69
- 21.76 deg, intensity 42
- 29.32 deg, intensity 100
- 36.67 deg, intensity 43
- 42.56 deg, intensity 23
- 52.00 deg, intensity 28

Structural model:
Lattice parameters (Å, degrees): 7.036 12.182 16.506 90.00 90.00 90.00
Space group Fddd (No. 70, origin choice 2)
Asymmetric unit:
U 0.125 0.125 0.125 (multiplicity 8)
V 0.125 0.125 0.401 (multiplicity 16)
V 0.125 0.125 0.625 (multiplicity 8)
O 0.076 0.272 0.873 (multiplicity 32)
O 0.125 0.125 0.016 (multiplicity 16)
O 0.125 0.125 0.503 (multiplicity 16)
O 0.125 0.336 0.125 (multiplicity 16)



# UV2O8
Computed PXRD pattern, Cu Kα (λ = 1.5418 Å). Input: a GGA+U-relaxed structure.
No peak broadening, texture or thermal motion is included.

Main lines, in order of rising 2θ (2θ = 10–90°):
- 18.03 deg, intensity 75
- 21.19 deg, intensity 83
- 22.78 deg, intensity 100
- 23.18 deg, intensity 24
- 27.19 deg, intensity 35
- 27.74 deg, intensity 31
- 31.33 deg, intensity 57
- 31.97 deg, intensity 43

Structural model:
Lattice parameters (Å, degrees): 19.683 3.982 4.193 90.00 90.87 90.00
Space group Cm (No. 8)
Asymmetric unit:
U 0.000 0.000 0.000 (multiplicity 2)
V 0.195 0.000 0.901 (multiplicity 2)
V 0.305 0.500 0.102 (multiplicity 2)
O 0.000 0.000 0.500 (multiplicity 2)
O 0.000 0.500 0.999 (multiplicity 2)
O 0.106 0.000 0.003 (multiplicity 2)
O 0.192 0.000 0.515 (multiplicity 2)
O 0.210 0.500 0.978 (multiplicity 2)
O 0.290 0.000 0.025 (multiplicity 2)
O 0.308 0.500 0.487 (multiplicity 2)
O 0.394 0.500 0.998 (multiplicity 2)